This entry pairs a crystal structure of Sm2FeMoN5 with its computed X-ray diffraction stick pattern. Radiation: Cu Kα (λ = 1.5418 Å). Structure: the GGA-PBE geometry in Alexandria.
Intensities are scaled so that the largest is 100.

Cell and atoms:
Cell: 7.205 7.205 9.976 Å, 90.00 90.00 154.22°
Fractional coordinates of all 18 atoms:
Sm 0.118 0.882 0.500
Sm 0.124 0.876 0.120
Sm 0.876 0.124 0.620
Sm 0.882 0.118 0.000
Fe 0.448 0.552 0.252
Fe 0.552 0.448 0.752
Mo 0.208 0.792 0.824
Mo 0.792 0.208 0.324
N 0.027 0.973 0.819
N 0.303 0.697 0.461
N 0.323 0.677 0.180
N 0.337 0.663 0.808
N 0.497 0.503 0.084
N 0.503 0.497 0.584
N 0.663 0.337 0.308
N 0.677 0.323 0.680
N 0.697 0.303 0.961
N 0.973 0.027 0.319

Peak list (12 most intense, 5 to 70 degrees two-theta, low angle first)
| 2θ (°) | I/Imax |
| --- | --- |
| 25.4 | 28 |
| 28.5 | 25 |
| 29.7 | 78 |
| 31.1 | 50 |
| 33.8 | 70 |
| 35.0 | 35 |
| 39.5 | 100 |
| 46.6 | 40 |
| 57.3 | 16 |
| 57.8 | 17 |
| 65.9 | 17 |
| 66.7 | 23 |

***

This entry pairs a crystal structure of TbFe10Mo2N with its computed X-ray diffraction stick pattern. Radiation: Cu Kα (λ = 1.5418 Å). Structure: the GGA-PBE geometry in Alexandria.
Intensities are scaled so that the largest is 100.

Cell and atoms:
Cell: 6.563 6.563 6.563 Å, 137.39 97.95 97.23°
Fractional coordinates of all 14 atoms:
Tb 0.000 0.000 0.000
Fe 0.000 0.000 0.500
Fe 0.000 0.500 0.000
Fe 0.220 0.720 0.500
Fe 0.222 0.500 0.722
Fe 0.360 0.360 0.000
Fe 0.500 0.000 0.000
Fe 0.500 0.500 0.500
Fe 0.640 0.640 0.000
Fe 0.778 0.500 0.278
Fe 0.780 0.280 0.500
Mo 0.358 0.000 0.358
Mo 0.642 0.000 0.642
N 0.000 0.500 0.500

Peak list (12 most intense, 5 to 70 degrees two-theta, low angle first)
| 2θ (°) | I/Imax |
| --- | --- |
| 21.3 | 12 |
| 29.8 | 15 |
| 32.8 | 15 |
| 36.3 | 32 |
| 36.5 | 30 |
| 37.7 | 22 |
| 41.6 | 35 |
| 41.9 | 21 |
| 42.2 | 100 |
| 43.3 | 74 |
| 44.4 | 13 |
| 48.4 | 21 |

***

This entry pairs a crystal structure of TmFe10Mo2N with its computed X-ray diffraction stick pattern. Radiation: Cu Kα (λ = 1.5418 Å). Structure: the GGA-PBE geometry in Alexandria.
Intensities are scaled so that the largest is 100.

Cell and atoms:
Cell: 6.549 6.549 6.549 Å, 137.69 97.89 97.07°
Fractional coordinates of all 14 atoms:
Tm 0.000 0.000 0.000
Fe 0.000 0.000 0.500
Fe 0.000 0.500 0.000
Fe 0.220 0.720 0.500
Fe 0.221 0.500 0.721
Fe 0.359 0.359 0.000
Fe 0.500 0.000 0.000
Fe 0.500 0.500 0.500
Fe 0.641 0.641 0.000
Fe 0.779 0.500 0.279
Fe 0.780 0.280 0.500
Mo 0.357 0.000 0.357
Mo 0.643 0.000 0.643
N 0.000 0.500 0.500

Peak list (12 most intense, 5 to 70 degrees two-theta, low angle first)
| 2θ (°) | I/Imax |
| --- | --- |
| 21.4 | 18 |
| 29.9 | 23 |
| 32.9 | 22 |
| 36.4 | 45 |
| 36.7 | 42 |
| 38.1 | 30 |
| 41.7 | 48 |
| 42.0 | 29 |
| 42.2 | 55 |
| 42.4 | 83 |
| 43.7 | 100 |
| 48.7 | 26 |